The following is a computed powder diffraction line list of ErAlNi4. It was derived from the GGA-PBE geometry in Alexandria, using Cu Kα, 1.54184 Å.

Principal peaks in the range 2θ = 10–80°, low angle first:
| 2θ (°) | d/Å | intensity | hkl |
| --- | --- | --- | --- |
| 30.91 | 2.893 | 83 | 1 0 1 |
| 35.73 | 2.513 | 30 | 1 1 0 |
| 41.49 | 2.176 | 53 | 2 0 0 |
| 42.91 | 2.108 | 100 | 1 1 1 |
| 46.95 | 1.935 | 25 | 0 0 2 |
| 64.42 | 1.446 | 28 | 2 0 2 |

Structural model:
Lattice parameters (Å, degrees): 5.0262 5.0262 3.8707 90.00 90.00 120.00
Space group P-6m2 (No. 187)
Unique sites:
Er 0.0000 0.0000 0.0000 [1 per cell]
Al 0.3333 0.6667 0.0000 [1 per cell]
Ni 0.5019 0.0039 0.5000 [3 per cell]
Ni 0.6667 0.3333 0.0000 [1 per cell]